Starting from a structure optimized by DFT (GGA-PBE), the XRD peak list of Er7Cd2Rh2 was calculated for Cu Kα, 1.54184 Å.
Intensities are scaled so that the largest is 100.

Structure:
```
data_Er7Cd2Rh2
_chemical_formula_sum 'Er14 Cd4 Rh4'
_symmetry_space_group_name_H-M 'C m m m'
_symmetry_Int_Tables_number 65
_symmetry_space_group_name_Hall '-C 2 2'
_cell_length_a 7.957
_cell_length_b 10.807
_cell_length_c 7.082
_cell_angle_alpha 90.00
_cell_angle_beta 90.00
_cell_angle_gamma 90.00
loop_
_atom_site_label
_atom_site_fract_x
_atom_site_fract_y
_atom_site_fract_z
_atom_site_occupancy
Er1 0.000 0.000 0.000 1
Er2 0.000 0.500 0.244 1
Er3 0.250 0.250 0.251 1
Cd1 0.177 0.000 0.500 1
Rh1 0.000 0.288 0.000 1
```

Largest 10 diffraction maxima, by angle, 2θ from 10° to 90°:
25.68 deg, d = 3.469 Å, I = 30, (2 0 1)
27.85 deg, d = 3.204 Å, I = 58, (2 2 0)
28.81 deg, d = 3.099 Å, I = 46, (1 1 2)
30.18 deg, d = 2.962 Å, I = 20, (0 2 2)
33.16 deg, d = 2.702 Å, I = 61, (0 4 0)
37.36 deg, d = 2.407 Å, I = 42, (1 3 2)
37.87 deg, d = 2.376 Å, I = 100, (2 2 2)
45.61 deg, d = 1.989 Å, I = 19, (4 0 0)
51.62 deg, d = 1.771 Å, I = 20, (0 0 4)
62.74 deg, d = 1.481 Å, I = 20, (0 4 4)